Entry 1:
# Li2Er3In4
Theoretical powder diffraction line list, Cu Kα (weighted mean of Kα1 and Kα2). Input: a structure optimized by DFT (PBE).
Kinematic intensities with the Lorentz-polarization factor, no thermal factor.

Structure:
```
Li2Er3In4
1.0
5.4262 -2.4380 0.0000
5.4262 2.4380 0.0000
-4.4991 0.0000 8.0995
Li Er In
2 3 4
Direct
0.1132 0.1132 0.2845 Li
0.8868 0.8868 0.7155 Li
0.1646 0.1646 0.6600 Er
0.5000 0.5000 0.0000 Er
0.8354 0.8354 0.3399 Er
0.2319 0.2319 0.0794 In
0.4474 0.4474 0.6221 In
0.5526 0.5526 0.3779 In
0.7681 0.7681 0.9206 In
```

Peak list (6 most intense, 10 to 90 degrees two-theta, by angle)
| Position (°2θ) | Rel. int. |
| --- | --- |
| 21.0 | 258 |
| 33.2 | 330 |
| 33.5 | 765 |
| 33.8 | 1000 |
| 36.6 | 956 |
| 36.9 | 479 |



Entry 2:
# CeSm2Y12
Theoretical powder diffraction line list, Cu Kα (weighted mean of Kα1 and Kα2). Input: a structure optimized by DFT (PBE).
Kinematic intensities with the Lorentz-polarization factor, no thermal factor.

Structure:
```
CeSm2Y12
1.0
3.5672 -5.6697 0.0000
3.5672 5.6697 0.0000
-1.7933 0.0000 24.4160
Ce Sm Y
2 4 24
Direct
0.1921 0.1921 0.9997 Ce
0.8079 0.8079 0.0003 Ce
0.0730 0.0730 0.2715 Sm
0.4358 0.4358 0.7301 Sm
0.5642 0.5642 0.2699 Sm
0.9270 0.9270 0.7285 Sm
0.0512 0.5504 0.1994 Y
0.0787 0.5867 0.3298 Y
0.1332 0.6433 0.5550 Y
0.1478 0.1478 0.5697 Y
0.2105 0.2105 0.8654 Y
0.2366 0.7258 0.9274 Y
0.2742 0.7634 0.0726 Y
0.2802 0.2802 0.1338 Y
0.3567 0.8668 0.4450 Y
0.3597 0.3597 0.4224 Y
0.4133 0.9213 0.6702 Y
0.4496 0.9488 0.8006 Y
0.5504 0.0512 0.1994 Y
0.5867 0.0787 0.3298 Y
0.6403 0.6403 0.5776 Y
0.6433 0.1332 0.5550 Y
0.7198 0.7198 0.8662 Y
0.7258 0.2366 0.9274 Y
0.7634 0.2742 0.0726 Y
0.7895 0.7895 0.1346 Y
0.8522 0.8522 0.4303 Y
0.8668 0.3567 0.4450 Y
0.9213 0.4133 0.6702 Y
0.9488 0.4496 0.8006 Y
```

Peak list (6 most intense, 10 to 90 degrees two-theta, by angle)
| Position (°2θ) | Rel. int. |
| --- | --- |
| 30.1 | 1000 |
| 31.0 | 442 |
| 31.6 | 631 |
| 32.2 | 351 |
| 32.3 | 582 |
| 33.3 | 376 |